Calculated PXRD pattern of Dy2FeSbO6 for a wavelength of 1.5418 Å, from a cell relaxed with PBE+U.
Lines closer than 0.1° are merged.

Cell and atoms:
```
data_Dy2FeSbO6
_chemical_formula_sum 'Dy2 Fe1 Sb1 O6'
_symmetry_space_group_name_H-M 'P 1'
_symmetry_Int_Tables_number 1
_cell_length_a 5.653
_cell_length_b 5.678
_cell_length_c 5.870
_cell_angle_alpha 91.20
_cell_angle_beta 117.94
_cell_angle_gamma 119.55
loop_
_symmetry_equiv_pos_as_xyz
'x,y,z'
loop_
_atom_site_label
_atom_site_type_symbol
_atom_site_fract_x
_atom_site_fract_y
_atom_site_fract_z
_atom_site_occupancy
Dy1 Dy 0.000 0.000 0.000 1
Dy2 Dy 0.000 0.498 0.500 1
Fe1 Fe 0.567 0.786 0.348 1
Sb1 Sb 0.570 0.286 0.855 1
O1 O 0.063 0.407 0.150 1
O2 O 0.084 0.173 0.663 1
O3 O 0.491 0.089 0.151 1
O4 O 0.491 0.908 0.652 1
O5 O 0.746 0.668 0.158 1
O6 O 0.748 0.578 0.662 1
```

Peak list (6 most intense, 2θ from 15° to 90°, in order of rising 2θ)
index  2theta  I/Imax
1 0 0  21.6  37
1 -1 1  30.1  52
0 1 1  30.5  100
1 1 -1  31.4  49
1 -2 0  31.5  49
-2 1 1  31.7  47